No. 1
# Y7Er2
Theoretical powder diffractogram, a wavelength of 1.5418 Å. Input: the GGA-PBE geometry in Alexandria.
No peak broadening, texture or thermal motion is included.

Structure:
a = 9.6857 Å, b = 9.6857 Å, c = 3.5737 Å
α = 90.00°, β = 90.00°, γ = 120.00°
Sites, in units of the cell vectors:
Y 0.0000 0.0000 0.0000
Y 0.0000 0.3064 0.5000
Y 0.0000 0.6373 0.0000
Y 0.3064 0.0000 0.5000
Y 0.3627 0.3627 0.0000
Y 0.6373 0.0000 0.0000
Y 0.6936 0.6936 0.5000
Er 0.3333 0.6667 0.5000
Er 0.6667 0.3333 0.5000

Most intense lines, 15 to 90 degrees two-theta, in order of rising 2θ:
- 2θ 27.1, intensity 147
- 2θ 31.1, intensity 686
- 2θ 32.0, intensity 1000
- 2θ 32.9, intensity 296
- 2θ 37.9, intensity 237
- 2θ 45.2, intensity 203
- 2θ 54.1, intensity 200
- 2θ 56.5, intensity 184
- 2θ 57.1, intensity 152
- 2θ 61.6, intensity 323

***

No. 2
# NpCuAg2Se4
Theoretical powder diffractogram, a wavelength of 1.5418 Å. Input: the GGA-PBE geometry in Alexandria.
No peak broadening, texture or thermal motion is included.

Structure:
a = 6.8321 Å, b = 6.8321 Å, c = 13.5466 Å
α = 90.00°, β = 90.00°, γ = 146.24°
Sites, in units of the cell vectors:
Np 0.1150 0.8850 0.7500
Np 0.8850 0.1150 0.2500
Cu 0.1592 0.8408 0.2500
Cu 0.8408 0.1592 0.7500
Ag 0.3726 0.6274 0.5651
Ag 0.3726 0.6274 0.9349
Ag 0.6274 0.3726 0.0651
Ag 0.6274 0.3726 0.4349
Se 0.0000 0.0000 0.0000
Se 0.0000 0.0000 0.5000
Se 0.2930 0.7070 0.1214
Se 0.2930 0.7070 0.3786
Se 0.4525 0.5475 0.7500
Se 0.5475 0.4525 0.2500
Se 0.7070 0.2930 0.6214
Se 0.7070 0.2930 0.8786

Most intense lines, 15 to 90 degrees two-theta, in order of rising 2θ:
- 2θ 24.0, intensity 417
- 2θ 29.7, intensity 270
- 2θ 31.2, intensity 854
- 2θ 33.3, intensity 1000
- 2θ 35.5, intensity 299
- 2θ 40.7, intensity 249
- 2θ 40.9, intensity 360
- 2θ 43.6, intensity 337
- 2θ 45.7, intensity 363
- 2θ 46.2, intensity 461

***

No. 3
# Pa2Co21B6
Theoretical powder diffractogram, a wavelength of 1.5418 Å. Input: the GGA-PBE geometry in Alexandria.
No peak broadening, texture or thermal motion is included.

Structure:
a = 7.5226 Å, b = 7.5226 Å, c = 7.5226 Å
α = 60.00°, β = 60.00°, γ = 60.00°
Sites, in units of the cell vectors:
Pa 0.2500 0.2500 0.2500
Pa 0.7500 0.7500 0.7500
Co 0.0000 0.0000 0.0000
Co 0.0000 0.0000 0.3348
Co 0.0000 0.0000 0.6652
Co 0.0000 0.3348 0.0000
Co 0.0000 0.3348 0.6652
Co 0.0000 0.6652 0.0000
Co 0.0000 0.6652 0.3348
Co 0.1542 0.6153 0.6153
Co 0.3348 0.0000 0.0000
Co 0.3348 0.0000 0.6652
Co 0.3348 0.6652 0.0000
Co 0.3847 0.3847 0.3847
Co 0.3847 0.3847 0.8458
Co 0.3847 0.8458 0.3847
Co 0.6153 0.1542 0.6153
Co 0.6153 0.6153 0.1542
Co 0.6153 0.6153 0.6153
Co 0.6652 0.0000 0.0000
Co 0.6652 0.0000 0.3348
Co 0.6652 0.3348 0.0000
Co 0.8458 0.3847 0.3847
B 0.2739 0.2739 0.7261
B 0.2739 0.7261 0.2739
B 0.2739 0.7261 0.7261
B 0.7261 0.2739 0.2739
B 0.7261 0.2739 0.7261
B 0.7261 0.7261 0.2739

Most intense lines, 15 to 90 degrees two-theta, in order of rising 2θ:
- 2θ 16.7, intensity 445
- 2θ 23.7, intensity 415
- 2θ 37.8, intensity 1000
- 2θ 41.6, intensity 912
- 2θ 44.2, intensity 835
- 2θ 48.4, intensity 445
- 2θ 50.8, intensity 213
- 2θ 57.5, intensity 292
- 2θ 73.4, intensity 295
- 2θ 75.9, intensity 431